Simulated X-ray powder pattern
Compound: LiV6O7F5
Radiation: CuKα
Structure: DFT lattice parameters and positions (GGA+U)
Intensities are scaled so that the largest is 100.

Crystal structure
abc: 5.6702 5.6803 7.5345
angles: 71.84 71.63 71.74
Space group P1 (No. 1)
One atom of each set of equivalent atoms:
Li: 0.0000 0.0000 0.0000
V: 0.0835 0.5778 0.8740
V: 0.1279 0.6391 0.3949
V: 0.4330 0.9486 0.5657
V: 0.4470 0.9384 0.0676
V: 0.7310 0.2648 0.7391
V: 0.7649 0.2911 0.2421
O: 0.0767 0.9921 0.2247
O: 0.2139 0.7219 0.5925
O: 0.3886 0.2966 0.9010
O: 0.4722 0.5862 0.2314
O: 0.6572 0.1700 0.5315
O: 0.8005 0.8937 0.9005
O: 0.8589 0.3536 0.9344
F: 0.0010 0.5278 0.2002
F: 0.1247 0.2529 0.5655
F: 0.3230 0.8385 0.8654
F: 0.5421 0.0456 0.2693
F: 0.7399 0.6443 0.5605

Most intense lines, 5 to 70 degrees two-theta, sorted by position:
26.1 deg, intensity 96
26.8 deg, intensity 100
34.2 deg, intensity 28
34.3 deg, intensity 26
34.5 deg, intensity 45
51.3 deg, intensity 32
52.2 deg, intensity 19
52.4 deg, intensity 31
55.2 deg, intensity 20
59.2 deg, intensity 18